(1)
Tb6Er2Tm5: theoretical X-ray powder pattern (Cu Kα, 1.54184 Å), based on a PBE-relaxed structure.
Neutral-atom scattering factors, no anomalous dispersion.

The 12 most intense peaks (5° ≤ 2θ ≤ 70°), in order of rising 2θ:
d (Å)  Position (°2θ)  I_rel  h k l
3.207  27.82  27  1 6 0
2.894  30.90  23  0 4 1
2.850  31.39  54  4 1 0
2.807  31.88  53  1 4 1
2.771  32.30  98  1 7 0
2.752  32.53  100  2 3 1
2.586  34.69  35  2 4 1
2.518  35.66  21  3 6 0
2.428  37.03  32  3 3 1
1.775  51.48  23  0 0 2
1.599  57.63  17  6 4 1
1.495  62.10  31  1 7 2

Structural model:
Cell: 11.5167 19.9991 3.5501 Å, 90.00 90.00 90.00°
Space group Pbam (No. 55)
Unique sites:
Tb (0.0588, 0.0807, 0.0000) (multiplicity 4)
Tb (0.0844, 0.3678, 0.0000) (multiplicity 4)
Tb (0.1713, 0.6344, 0.5000) (multiplicity 4)
Er (0.1648, 0.7898, 0.0000) (multiplicity 4)
Tm (0.0000, 0.5000, 0.5000) (multiplicity 2)
Tm (0.0928, 0.2263, 0.5000) (multiplicity 4)
Tm (0.1980, 0.9484, 0.5000) (multiplicity 4)

(2)
Tb3ErTm8: theoretical X-ray powder pattern (Cu Kα, 1.54184 Å), based on a PBE-relaxed structure.
Neutral-atom scattering factors, no anomalous dispersion.

The 10 most intense peaks (5° ≤ 2θ ≤ 70°), in order of rising 2θ:
d (Å)  Position (°2θ)  I_rel  h k l
4.382  20.27  24  1 1 2
3.795  23.44  16  2 0 0
2.683  33.39  100  2 2 0
2.288  39.37  13  3 1 2
2.191  41.20  5  2 2 4
1.897  47.94  18  4 0 0
1.741  52.56  6  3 3 2
1.697  54.03  7  4 2 0
1.549  59.68  38  4 2 4
1.461  63.71  4  5 1 2

Structural model:
Cell: 7.5866 7.5866 15.1919 Å, 90.00 90.00 90.00°
Space group I4/mmm (No. 139)
Unique sites:
Tb (0.0000, 0.0000, 0.0000) (multiplicity 2)
Tb (0.0000, 0.5000, 0.2500) (multiplicity 4)
Er (0.0000, 0.0000, 0.5000) (multiplicity 2)
Tm (0.2494, 0.2494, 0.3753) (multiplicity 16)

(3)
Tb5Er2Tm: theoretical X-ray powder pattern (Cu Kα, 1.54184 Å), based on a PBE-relaxed structure.
Neutral-atom scattering factors, no anomalous dispersion.

The 6 most intense peaks (5° ≤ 2θ ≤ 70°), in order of rising 2θ:
d (Å)  Position (°2θ)  I_rel  h k l
2.882  31.03  100  2 0 1
2.496  35.98  51  2 4 0
1.765  51.79  36  4 0 0
1.506  61.58  29  4 4 1
1.504  61.68  14  2 0 3
1.441  64.68  12  4 0 2

Structural model:
Cell: 7.0645 14.1312 4.9857 Å, 90.00 90.00 90.00°
Space group Pbam (No. 55)
Unique sites:
Tb (0.0000, 0.0000, 0.0000) (multiplicity 2)
Tb (0.9999, 0.2504, 0.0000) (multiplicity 4)
Tb (0.2502, 0.1247, 0.5000) (multiplicity 4)
Er (0.2498, 0.3755, 0.5000) (multiplicity 4)
Tm (0.0000, 0.5000, 0.0000) (multiplicity 2)

(4)
Tb12ErTm5: theoretical X-ray powder pattern (Cu Kα, 1.54184 Å), based on a PBE-relaxed structure.
Neutral-atom scattering factors, no anomalous dispersion.

The 7 most intense peaks (5° ≤ 2θ ≤ 70°), in order of rising 2θ:
d (Å)  Position (°2θ)  I_rel  h k l
2.883  31.02  100  3 1 0
2.498  35.95  34  0 2 0
2.492  36.04  17  3 0 3
1.765  51.79  36  6 0 0
1.506  61.57  29  3 3 0
1.504  61.69  14  6 1 3
1.441  64.67  12  6 2 0

Structural model:
Cell: 10.5821 4.9944 10.5969 Å, 90.00 90.17 90.00°
Space group P2/m (No. 10)
Unique sites:
Tb (0.0010, 0.0000, 0.1673) (multiplicity 2)
Tb (0.1658, 0.5000, 0.6659) (multiplicity 2)
Tb (0.1676, 0.5000, 0.0006) (multiplicity 2)
Tb (0.3327, 0.0000, 0.4990) (multiplicity 2)
Tb (0.3341, 0.0000, 0.8340) (multiplicity 2)
Tb (0.4993, 0.5000, 0.3324) (multiplicity 2)
Er (0.0000, 0.0000, 0.5000) (multiplicity 1)
Tm (0.1670, 0.5000, 0.3330) (multiplicity 2)
Tm (0.3335, 0.0000, 0.1665) (multiplicity 2)
Tm (0.5000, 0.5000, 0.0000) (multiplicity 1)

(5)
Tb3Er2Tm3: theoretical X-ray powder pattern (Cu Kα, 1.54184 Å), based on a PBE-relaxed structure.
Neutral-atom scattering factors, no anomalous dispersion.

The 12 most intense peaks (5° ≤ 2θ ≤ 70°), in order of rising 2θ:
d (Å)  Position (°2θ)  I_rel  h k l
3.088  28.91  21  1 1 4
2.879  31.07  9  0 4 1
2.746  32.61  11  0 4 2
2.719  32.94  100  2 0 0
2.666  33.62  28  1 1 5
2.640  33.96  8  0 0 6
1.978  45.89  7  2 4 1
1.933  47.02  8  2 4 2
1.895  48.02  6  2 0 6
1.570  58.80  15  3 3 3
1.560  59.23  6  3 1 5
1.405  66.58  6  2 4 8

Structural model:
Cell: 5.4419 11.7093 15.8373 Å, 90.00 90.00 90.00°
Space group Cmcm (No. 63)
Unique sites:
Tb (0.0000, 0.0419, 0.2500) (multiplicity 4)
Tb (0.0000, 0.1150, 0.5516) (multiplicity 8)
Er (0.0000, 0.2772, 0.1296) (multiplicity 8)
Tm (0.0000, 0.2368, 0.7500) (multiplicity 4)
Tm (0.0000, 0.4199, 0.5893) (multiplicity 8)

(6)
Tb2Er2Tm5: theoretical X-ray powder pattern (Cu Kα, 1.54184 Å), based on a PBE-relaxed structure.
Neutral-atom scattering factors, no anomalous dispersion.

The 12 most intense peaks (5° ≤ 2θ ≤ 70°), in order of rising 2θ:
d (Å)  Position (°2θ)  I_rel  h k l
2.930  30.51  27  1 -2 1
2.826  31.66  31  1 0 -2
2.760  32.44  47  0 3 0
2.749  32.57  100  0 2 -3
2.711  33.04  51  0 1 3
2.638  33.99  43  1 -2 2
1.769  51.68  17  2 -1 0
1.658  55.41  17  1 0 -5
1.634  56.30  16  1 -5 2
1.559  59.27  32  1 4 1
1.489  62.38  26  2 -4 0
1.476  62.98  18  1 3 -5

Structural model:
Cell: 3.5377 8.6381 9.4269 Å, 101.44 90.02 101.80°
Space group P-1 (No. 2)
Unique sites:
Tb (0.1807, 0.3599, 0.2474) (multiplicity 2)
Er (0.4834, 0.9668, 0.6744) (multiplicity 2)
Tm (0.0000, 0.0000, 0.0000) (multiplicity 1)
Tm (0.1485, 0.2970, 0.5946) (multiplicity 2)
Tm (0.3362, 0.6729, 0.0760) (multiplicity 2)

(7)
Tb8Er3Tm4: theoretical X-ray powder pattern (Cu Kα, 1.54184 Å), based on a PBE-relaxed structure.
Neutral-atom scattering factors, no anomalous dispersion.

The 12 most intense peaks (5° ≤ 2θ ≤ 70°), in order of rising 2θ:
d (Å)  Position (°2θ)  I_rel  h k l
3.167  28.18  38  0 4 0
2.899  30.84  48  0 0 2
2.874  31.12  100  4 0 -2
2.776  32.25  27  2 4 -1
2.297  39.21  11  2 4 1
2.138  42.26  23  0 4 2
2.128  42.47  49  4 4 -2
1.671  54.96  9  4 0 -4
1.655  55.53  10  8 0 -2
1.467  63.41  8  8 4 -2
1.390  67.38  9  0 8 2
1.387  67.53  20  4 8 -2

Structural model:
Cell: 13.2386 12.6687 6.6823 Å, 90.00 119.81 90.00°
Space group C2/m (No. 12)
Unique sites:
Tb (0.0000, 0.1441, 0.0000) (multiplicity 4)
Tb (0.0000, 0.2504, 0.5000) (multiplicity 4)
Tb (0.2288, 0.0000, 0.4378) (multiplicity 4)
Tb (0.2390, 0.0000, 0.9704) (multiplicity 4)
Er (0.0000, 0.0000, 0.5000) (multiplicity 2)
Er (0.2500, 0.2500, 0.5000) (multiplicity 4)
Tm (0.0000, 0.5000, 0.0000) (multiplicity 2)
Tm (0.0000, 0.5000, 0.5000) (multiplicity 2)
Tm (0.2500, 0.2500, 0.0000) (multiplicity 4)

(8)
Tb8Er6Tm: theoretical X-ray powder pattern (Cu Kα, 1.54184 Å), based on a PBE-relaxed structure.
Neutral-atom scattering factors, no anomalous dispersion.

The 12 most intense peaks (5° ≤ 2θ ≤ 70°), in order of rising 2θ:
d (Å)  Position (°2θ)  I_rel  h k l
3.410  26.13  5  1 -2 0
3.194  27.93  20  0 2 -1
2.887  30.97  20  2 0 0
2.817  31.77  5  0 0 3
2.795  32.02  100  1 3 2
2.485  36.15  5  2 1 -1
2.142  42.19  20  -2 3 2
1.844  49.42  19  0 4 5
1.649  55.76  17  3 1 3
1.554  59.48  15  -2 4 5
1.539  60.11  15  -1 6 4
1.398  66.96  6  -2 2 6

Structural model:
Cell: 5.7748 9.7557 9.7573 Å, 60.03 90.00 89.96°
Space group P-1 (No. 2)
Unique sites:
Tb (0.2230, 0.1668, 0.1667) (multiplicity 2)
Tb (0.2679, 0.0339, 0.8749) (multiplicity 2)
Tb (0.2678, 0.5909, 0.0342) (multiplicity 2)
Tb (0.2679, 0.8748, 0.5911) (multiplicity 2)
Er (0.2193, 0.2765, 0.4503) (multiplicity 2)
Er (0.2201, 0.4499, 0.7735) (multiplicity 2)
Er (0.2207, 0.7736, 0.2764) (multiplicity 2)
Tm (0.5000, 0.5000, 0.5000) (multiplicity 1)

(9)
Tb16Er7Tm6: theoretical X-ray powder pattern (Cu Kα, 1.54184 Å), based on a PBE-relaxed structure.
Neutral-atom scattering factors, no anomalous dispersion.

The 12 most intense peaks (5° ≤ 2θ ≤ 70°), in order of rising 2θ:
d (Å)  Position (°2θ)  I_rel  h k l
3.185  28.01  7  4 2 2
3.003  29.75  13  3 3 3
2.759  32.45  100  4 4 0
2.638  33.99  5  5 3 1
2.467  36.41  4  6 2 0
2.032  44.60  8  7 3 1
1.951  46.56  14  8 0 0
1.713  53.49  4  7 5 3
1.636  56.23  5  9 3 1
1.593  57.90  26  8 4 4
1.509  61.46  8  7 7 3
1.379  67.96  7  8 8 0

Structural model:
Cell: 15.6055 15.6055 15.6055 Å, 90.00 90.00 90.00°
Space group Fm-3m (No. 225)
Unique sites:
Tb (0.1233, 0.1233, 0.1233) (multiplicity 32)
Tb (0.1502, 0.1502, 0.3498) (multiplicity 32)
Er (0.0000, 0.0000, 0.0000) (multiplicity 4)
Er (0.0000, 0.2500, 0.2500) (multiplicity 24)
Tm (0.0000, 0.0000, 0.2714) (multiplicity 24)

(10)
Tb3Er2Tm: theoretical X-ray powder pattern (Cu Kα, 1.54184 Å), based on a PBE-relaxed structure.
Neutral-atom scattering factors, no anomalous dispersion.

The 12 most intense peaks (5° ≤ 2θ ≤ 70°), in order of rising 2θ:
d (Å)  Position (°2θ)  I_rel  h k l
3.057  29.22  37  2 2 1
2.993  29.85  14  2 2 0
2.831  31.60  50  0 0 3
2.772  32.29  100  0 2 -1
2.635  34.02  88  0 2 2
2.214  40.76  15  2 2 -2
1.778  51.40  38  4 2 1
1.653  55.58  21  0 2 -4
1.567  58.95  18  0 2 5
1.506  61.60  44  4 2 4
1.496  62.02  16  4 4 0
1.474  63.08  15  4 4 3

Structural model:
Cell: 7.1086 7.1113 8.7383 Å, 78.24 78.27 60.02°
Space group P-1 (No. 2)
Unique sites:
Tb (0.1388, 0.1392, 0.1665) (multiplicity 2)
Tb (0.2497, 0.2503, 0.5007) (multiplicity 2)
Tb (0.3611, 0.8605, 0.8347) (multiplicity 2)
Er (0.1393, 0.6382, 0.1663) (multiplicity 2)
Er (0.3610, 0.3622, 0.8325) (multiplicity 2)
Tm (0.2505, 0.7494, 0.4995) (multiplicity 2)

(11)
Tb9Er2Tm3: theoretical X-ray powder pattern (Cu Kα, 1.54184 Å), based on a PBE-relaxed structure.
Neutral-atom scattering factors, no anomalous dispersion.

The 12 most intense peaks (5° ≤ 2θ ≤ 70°), in order of rising 2θ:
d (Å)  Position (°2θ)  I_rel  h k l
2.850  31.39  86  1 1 2
2.805  31.90  100  7 1 0
2.769  32.34  42  6 0 -2
2.752  32.54  49  0 2 0
2.050  44.19  16  8 0 2
1.952  46.53  31  6 2 -2
1.741  52.56  13  2 0 -4
1.644  55.93  15  8 2 2
1.607  57.34  16  1 3 2
1.598  57.68  35  7 3 0
1.479  62.81  29  5 1 4
1.471  63.19  15  2 2 -4

Structural model:
Cell: 23.0840 5.5038 6.9649 Å, 90.00 98.65 90.00°
Space group C2/m (No. 12)
Unique sites:
Tb (0.0000, 0.0000, 0.0000) (multiplicity 2)
Tb (0.0695, 0.5000, 0.7828) (multiplicity 4)
Tb (0.1425, 0.0000, 0.3240) (multiplicity 4)
Tb (0.2069, 0.5000, 0.1041) (multiplicity 4)
Tb (0.2075, 0.5000, 0.6044) (multiplicity 4)
Er (0.0707, 0.5000, 0.2859) (multiplicity 4)
Tm (0.0000, 0.0000, 0.5000) (multiplicity 2)
Tm (0.1431, 0.0000, 0.8224) (multiplicity 4)

(12)
TbEr14Tm: theoretical X-ray powder pattern (Cu Kα, 1.54184 Å), based on a PBE-relaxed structure.
Neutral-atom scattering factors, no anomalous dispersion.

The 12 most intense peaks (5° ≤ 2θ ≤ 70°), in order of rising 2θ:
d (Å)  Position (°2θ)  I_rel  h k l
3.119  28.62  10  1 2 2
2.862  31.25  17  2 1 3
2.799  31.98  100  2 2 2
2.769  32.33  15  0 0 4
2.744  32.64  33  4 0 0
2.685  33.38  11  1 0 4
2.010  45.10  8  0 4 0
1.949  46.60  10  4 0 4
1.707  53.68  9  0 3 5
1.594  57.83  17  6 2 2
1.450  64.25  10  4 3 5
1.424  65.56  7  2 5 3

Structural model:
Cell: 10.9744 8.0413 11.0749 Å, 90.00 90.00 90.00°
Space group Amm2 (No. 38)
Unique sites:
Tb (0.0000, 0.0000, 0.0000) (multiplicity 2)
Er (0.0000, 0.2048, 0.7207) (multiplicity 4)
Er (0.2326, 0.0000, 0.2074) (multiplicity 4)
Er (0.2501, 0.2096, 0.9284) (multiplicity 8)
Er (0.2682, 0.0000, 0.6493) (multiplicity 4)
Er (0.5000, 0.0000, 0.4089) (multiplicity 2)
Er (0.5000, 0.0000, 0.8580) (multiplicity 2)
Er (0.5000, 0.2052, 0.1363) (multiplicity 4)
Tm (0.0000, 0.0000, 0.4476) (multiplicity 2)